[1]
Structure and theoretical XRD peak list of K2Ga3CuSe6 (a DFT-relaxed cell (PBE, the Materials Project); λ = 1.5418 Å (Cu Kα)).

Structural model:
Lattice parameters (Å, degrees): 7.917 7.917 21.144 95.37 95.37 90.14
Sites, in units of the cell vectors:
K1 0.107 0.723 0.920
K2 0.264 0.396 0.580
K3 0.277 0.893 0.580
K4 0.396 0.264 0.080
K5 0.604 0.736 0.920
K6 0.723 0.107 0.420
K7 0.736 0.604 0.420
K8 0.893 0.277 0.080
Ga1 0.058 0.942 0.750
Ga2 0.154 0.780 0.120
Ga3 0.219 0.345 0.379
Ga4 0.220 0.846 0.380
Ga5 0.345 0.219 0.879
Ga6 0.432 0.568 0.250
Ga7 0.568 0.432 0.750
Ga8 0.655 0.781 0.121
Ga9 0.780 0.154 0.620
Ga10 0.781 0.655 0.621
Ga11 0.846 0.220 0.880
Ga12 0.942 0.058 0.250
Cu1 0.062 0.435 0.750
Cu2 0.435 0.062 0.250
Cu3 0.565 0.938 0.750
Cu4 0.938 0.565 0.250
Se1 0.057 0.672 0.682
Se2 0.058 0.171 0.680
Se3 0.114 0.264 0.950
Se4 0.168 0.534 0.181
Se5 0.171 0.058 0.180
Se6 0.210 0.612 0.449
Se7 0.264 0.114 0.450
Se8 0.328 0.943 0.818
Se9 0.332 0.465 0.818
Se10 0.388 0.790 0.051
Se11 0.465 0.332 0.318
Se12 0.466 0.832 0.319
Se13 0.534 0.168 0.681
Se14 0.535 0.668 0.682
Se15 0.612 0.210 0.949
Se16 0.668 0.535 0.182
Se17 0.672 0.057 0.182
Se18 0.736 0.886 0.550
Se19 0.790 0.388 0.551
Se20 0.829 0.942 0.820
Se21 0.832 0.466 0.819
Se22 0.886 0.736 0.050
Se23 0.942 0.829 0.320
Se24 0.943 0.328 0.318

Top 12 peaks for 2θ = 15–90°, low angle first:
2theta	I (rel.)
24.9	55
27.0	13
29.6	100
44.3	54
45.8	36
51.0	9
51.0	9
52.8	7
52.9	7
55.5	37
74.8	12
83.7	7



[2]
Structure and theoretical XRD peak list of CsBeAsO4 (a DFT-relaxed cell (PBE, the Materials Project); λ = 1.5418 Å (Cu Kα)).

Structural model:
Lattice parameters (Å, degrees): 9.552 8.984 5.234 90.00 90.00 90.00
Sites, in units of the cell vectors:
Cs1 0.007 0.182 0.000
Cs2 0.493 0.682 0.500
Cs3 0.507 0.318 0.000
Cs4 0.993 0.818 0.500
Be1 0.169 0.404 0.500
Be2 0.331 0.904 0.000
Be3 0.669 0.096 0.500
Be4 0.831 0.596 0.000
As1 0.174 0.586 0.001
As2 0.326 0.086 0.501
As3 0.674 0.914 0.001
As4 0.826 0.414 0.501
O1 0.000 0.372 0.518
O2 0.000 0.628 0.018
O3 0.221 0.445 0.208
O4 0.223 0.536 0.697
O5 0.239 0.244 0.591
O6 0.261 0.744 0.091
O7 0.277 0.036 0.197
O8 0.279 0.945 0.708
O9 0.500 0.128 0.518
O10 0.500 0.872 0.018
O11 0.721 0.055 0.208
O12 0.723 0.964 0.697
O13 0.739 0.256 0.591
O14 0.761 0.756 0.091
O15 0.777 0.464 0.197
O16 0.779 0.555 0.708

Top 12 peaks for 2θ = 15–90°, low angle first:
2theta	I (rel.)
21.7	22
27.2	96
27.3	33
27.8	100
29.8	31
31.3	21
34.3	29
34.5	17
42.8	22
52.9	30
55.1	16
57.2	15